The following is a simulated powder X-ray diffraction pattern of GaNi4B. It was derived from a DFT-relaxed cell (PBE, Alexandria), using Cu Kα (weighted mean of Kα1 and Kα2).

Structural model:
Cell lengths 6.2656, 2.7602, 14.5777 Å; angles 90.00, 90.00, 90.00 degrees
Space group Pnma (No. 62)
One atom of each set of equivalent atoms:
1 Ga 0.2445 0.2500 0.1827 (multiplicity 4)
2 Ni 0.0115 0.2500 0.4338 (multiplicity 4)
3 Ni 0.0610 0.7500 0.2927 (multiplicity 4)
4 Ni 0.1284 0.7500 0.8553 (multiplicity 4)
5 Ni 0.1442 0.7500 0.0386 (multiplicity 4)
6 B 0.2489 0.7500 0.4438 (multiplicity 4)

Largest 6 diffraction maxima, low angle first, 15 to 90 degrees two-theta:
Position (°2θ), I_rel, (hkl)
42.35, 35, 2 0 5
43.60, 100, 1 1 4
43.75, 80, 2 1 0
45.20, 45, 0 1 5
45.92, 36, 1 0 7
47.74, 43, 2 1 3